LiIn5Pd4: simulated powder XRD pattern (Cu Kα, 1.54184 Å), based on a PBE-relaxed structure.
Lines closer than 0.1° are merged.

Crystal structure
a b c (Å): 3.373 3.373 15.861
angles (deg): 90.00 90.00 90.00
Space group P4/mmm (No. 123)
Inequivalent atoms, fractional coordinates:
Li  0.000  0.000  0.000 x1
In  0.500  0.500  0.100 x2
In  0.500  0.500  0.299 x2
In  0.500  0.500  0.500 x1
Pd  0.000  0.000  0.196 x2
Pd  0.000  0.000  0.399 x2

Principal peaks in the range 10° ≤ 2θ ≤ 90°, sorted by position:
| hkl | d/Å | Rel. int. |
| --- | --- | --- |
| 1 1 0 | 2.385 | 55 |
| 1 0 5 | 2.311 | 100 |
| 2 0 0 | 1.686 | 19 |
| 0 0 10 | 1.586 | 7 |
| 2 1 5 | 1.362 | 36 |
| 1 1 10 | 1.321 | 16 |
| 2 2 0 | 1.192 | 6 |
| 2 0 10 | 1.155 | 10 |

Li3In2Pd3: simulated powder XRD pattern (Cu Kα, 1.54184 Å), based on a PBE-relaxed structure.
Lines closer than 0.1° are merged.

Crystal structure
a b c (Å): 4.5045 4.5045 22.0891
angles (deg): 90.00 90.00 120.00
Space group R3m (No. 160, hexagonal axes)
Inequivalent atoms, fractional coordinates:
Li  0.0000  0.0000  0.0000 x3
Li  0.0000  0.0000  0.1271 x3
Li  0.0000  0.0000  0.5042 x3
In  0.0000  0.0000  0.2533 x3
In  0.0000  0.0000  0.7515 x3
Pd  0.0000  0.0000  0.3784 x3
Pd  0.0000  0.0000  0.6271 x3
Pd  0.0000  0.0000  0.8766 x3

Principal peaks in the range 10° ≤ 2θ ≤ 90°, sorted by position:
| hkl | d/Å | Rel. int. |
| --- | --- | --- |
| 0 0 3 | 7.363 | 10 |
| 0 0 6 | 3.679 | 47 |
| 1 1 0 | 2.253 | 100 |
| 1 1 6 | 1.921 | 22 |
| 2 0 8 | 1.593 | 17 |
| 0 1 14 | 1.462 | 9 |
| 3 0 0 | 1.301 | 33 |
| 2 2 0 | 1.126 | 11 |

Li2InPd2: simulated powder XRD pattern (Cu Kα, 1.54184 Å), based on a PBE-relaxed structure.
Lines closer than 0.1° are merged.

Crystal structure
a b c (Å): 7.734 4.412 5.398
angles (deg): 90.00 119.38 90.00
Space group C2/m (No. 12)
Inequivalent atoms, fractional coordinates:
Li  0.204  0.000  0.114 x4
In  0.000  0.000  0.500 x2
Pd  0.099  0.500  0.298 x4

Principal peaks in the range 10° ≤ 2θ ≤ 90°, sorted by position:
| hkl | d/Å | Rel. int. |
| --- | --- | --- |
| 0 0 1 | 4.704 | 72 |
| 2 0 0 | 3.375 | 100 |
| 1 1 -2 | 2.281 | 85 |
| 2 0 1 | 2.264 | 42 |
| 3 1 -1 | 2.226 | 79 |
| 0 2 0 | 2.206 | 39 |
| 2 2 1 | 1.580 | 26 |
| 5 1 0 | 1.289 | 20 |

Li2In5Pd12: simulated powder XRD pattern (Cu Kα, 1.54184 Å), based on a PBE-relaxed structure.
Lines closer than 0.1° are merged.

Crystal structure
a b c (Å): 14.559 5.938 7.494
angles (deg): 90.00 102.64 90.00
Space group C2/m (No. 12)
Inequivalent atoms, fractional coordinates:
Li  0.000  0.176  0.000 x4
In  0.000  0.500  0.500 x2
In  0.190  0.000  0.220 x4
In  0.230  0.500  0.229 x4
Pd  0.005  0.000  0.685 x4
Pd  0.045  0.500  0.184 x4
Pd  0.147  0.267  0.903 x8
Pd  0.154  0.248  0.511 x8

Principal peaks in the range 10° ≤ 2θ ≤ 90°, sorted by position:
| hkl | d/Å | Rel. int. |
| --- | --- | --- |
| 2 2 1 | 2.497 | 44 |
| 0 0 3 | 2.437 | 22 |
| 6 0 0 | 2.368 | 28 |
| 0 2 2 | 2.305 | 100 |
| 2 2 -2 | 2.286 | 57 |
| 4 2 0 | 2.278 | 88 |
| 6 0 -2 | 2.220 | 37 |
| 2 0 3 | 2.164 | 28 |

Li4In4Pd3: simulated powder XRD pattern (Cu Kα, 1.54184 Å), based on a PBE-relaxed structure.
Lines closer than 0.1° are merged.

Crystal structure
a b c (Å): 3.083 4.603 13.490
angles (deg): 98.26 90.52 91.09
Space group P-1 (No. 2)
Inequivalent atoms, fractional coordinates:
Li  0.004  0.193  0.371 x2
Li  0.330  0.557  0.081 x2
In  0.478  0.895  0.818 x2
In  0.495  0.720  0.429 x2
Pd  0.000  0.000  0.000 x1
Pd  0.022  0.361  0.746 x2

Principal peaks in the range 10° ≤ 2θ ≤ 90°, sorted by position:
| hkl | d/Å | Rel. int. |
| --- | --- | --- |
| 0 1 1 | 4.132 | 33 |
| 0 1 -2 | 4.042 | 37 |
| 1 0 -3 | 2.548 | 17 |
| -1 1 2 | 2.349 | 25 |
| 0 2 -1 | 2.300 | 100 |
| 1 1 -3 | 2.288 | 25 |
| 0 1 5 | 2.171 | 24 |
| 0 1 -6 | 2.123 | 21 |

LiIn4Pd2: simulated powder XRD pattern (Cu Kα, 1.54184 Å), based on a PBE-relaxed structure.
Lines closer than 0.1° are merged.

Crystal structure
a b c (Å): 4.628 4.628 6.504
angles (deg): 90.00 90.00 90.00
Space group P4/mmm (No. 123)
Inequivalent atoms, fractional coordinates:
Li  0.000  0.000  0.000 x1
In  0.000  0.500  0.260 x4
Pd  0.000  0.000  0.500 x1
Pd  0.500  0.500  0.000 x1

Principal peaks in the range 10° ≤ 2θ ≤ 90°, sorted by position:
| hkl | d/Å | Rel. int. |
| --- | --- | --- |
| 1 0 1 | 3.771 | 36 |
| 1 1 0 | 3.273 | 17 |
| 2 0 0 | 2.314 | 51 |
| 1 1 2 | 2.307 | 100 |
| 2 1 1 | 1.972 | 12 |
| 2 2 0 | 1.636 | 17 |
| 3 1 2 | 1.335 | 33 |
| 2 0 4 | 1.330 | 16 |

LiInPd2: simulated powder XRD pattern (Cu Kα, 1.54184 Å), based on a PBE-relaxed structure.
Lines closer than 0.1° are merged.

Crystal structure
a b c (Å): 4.181 4.181 3.660
angles (deg): 90.00 90.00 90.00
Space group P4/mmm (No. 123)
Inequivalent atoms, fractional coordinates:
Li  0.000  0.000  0.000 x1
In  0.500  0.500  0.000 x1
Pd  0.000  0.500  0.500 x2

Principal peaks in the range 10° ≤ 2θ ≤ 90°, sorted by position:
| hkl | d/Å | Rel. int. |
| --- | --- | --- |
| 1 0 0 | 4.181 | 26 |
| 1 0 1 | 2.754 | 18 |
| 1 1 1 | 2.300 | 100 |
| 2 0 0 | 2.090 | 37 |
| 0 0 2 | 1.830 | 12 |
| 2 2 0 | 1.478 | 12 |
| 2 0 2 | 1.377 | 19 |
| 3 1 1 | 1.243 | 27 |

- Number 6 is which compound?
  LiIn4Pd2